# HoCdMoO6
Theoretical powder diffractogram, Cu Kα (weighted mean of Kα1 and Kα2). Input: a DFT-relaxed cell (PBE+U, Alexandria).

Main lines, most intense first (2θ from 15° to 90°):
| Position (°2θ) | I/Imax | hkl |
| --- | --- | --- |
| 26.6 | 100 | 1 0 1 |
| 32.1 | 52 | 1 1 0 |
| 51.0 | 44 | 2 -1 2 |
| 42.2 | 28 | 2 0 1 |
| 54.0 | 28 | 3 -1 1 |
| 57.3 | 18 | 3 0 0 |
| 37.6 | 16 | 2 -1 1 |
| 19.0 | 15 | 0 0 1 |
| 80.2 | 11 | 2 2 2 |
| 73.6 | 11 | 3 1 1 |

Cell and atoms:
Lattice parameters (Å, degrees): 5.5721 5.5721 4.6702 90.00 90.00 120.00
Space group P312 (No. 149)
Unique sites:
Ho 0.0000 0.0000 0.0000 (multiplicity 1)
Cd 0.6667 0.3333 0.5000 (multiplicity 1)
Mo 0.3333 0.6667 0.0000 (multiplicity 1)
O 0.0413 0.3731 0.2284 (multiplicity 6)